Diffraction record for ZrMn6Co6. The powder XRD pattern is theoretical, not measured: it uses a cell relaxed with GGA-PBE and Cu Kα, 1.54184 Å.

Most intense lines, 10° ≤ 2θ ≤ 90°, in order of falling intensity:
| (hkl) | 2θ (°) | I (rel.) |
| --- | --- | --- |
| 0 4 0 | 44.6 | 100.0 |
| 2 2 2 | 50.5 | 52.1 |
| 2 0 2 | 44.9 | 48.5 |
| 1 2 3 | 44.5 | 46.0 |
| 2 2 0 | 45.0 | 40.0 |
| 0 0 4 | 44.2 | 35.6 |
| 1 3 0 | 38.5 | 29.9 |
| 0 2 4 | 49.9 | 29.1 |
| 3 3 2 | 74.3 | 22.1 |
| 1 0 3 | 38.2 | 19.5 |
| 2 0 0 | 38.8 | 16.2 |
| 2 6 0 | 82.5 | 14.4 |

Structural model:
a = 4.639 Å, b = 8.119 Å, c = 8.195 Å
α = 90.00°, β = 90.00°, γ = 90.00°
Space group Immm (No. 71)
Asymmetric unit:
Zr  0.000  0.000  0.000
Mn  0.000  0.000  0.367
Mn  0.000  0.349  0.000
Mn  0.000  0.500  0.281
Co  0.000  0.293  0.500
Co  0.250  0.250  0.250

Diffraction record for Be2NCl. The powder XRD pattern is theoretical, not measured: it uses a cell relaxed with GGA-PBE and Cu Kα, 1.54184 Å.

Most intense lines, 10° ≤ 2θ ≤ 90°, in order of falling intensity:
| (hkl) | 2θ (°) | I (rel.) |
| --- | --- | --- |
| 1 1 2 | 35.1 | 100.0 |
| 2 0 0 | 39.6 | 24.5 |
| 2 0 4 | 59.9 | 19.9 |
| 3 1 2 | 68.9 | 18.9 |
| 1 0 1 | 22.2 | 16.4 |
| 2 1 1 | 45.8 | 15.1 |
| 1 0 3 | 37.7 | 12.6 |
| 2 2 0 | 57.2 | 9.3 |
| 1 1 6 | 73.7 | 8.0 |
| 2 2 4 | 74.2 | 7.2 |
| 0 0 4 | 43.0 | 6.9 |
| 2 1 3 | 55.8 | 3.4 |

Structural model:
a = 4.555 Å, b = 4.555 Å, c = 8.410 Å
α = 90.00°, β = 90.00°, γ = 90.00°
Space group I-42d (No. 122)
Asymmetric unit:
Be  0.130  0.250  0.125
N  0.000  0.000  0.000
Cl  0.000  0.000  0.500

Diffraction record for V3Fe3Co. The powder XRD pattern is theoretical, not measured: it uses a cell relaxed with GGA-PBE and Cu Kα, 1.54184 Å.

Most intense lines, 10° ≤ 2θ ≤ 90°, in order of falling intensity:
| (hkl) | 2θ (°) | I (rel.) |
| --- | --- | --- |
| 2 2 2 | 47.4 | 100.0 |
| 4 0 0 | 45.8 | 27.3 |
| 0 4 0 | 44.2 | 24.0 |
| 1 1 2 | 38.1 | 14.9 |
| 1 3 1 | 38.9 | 14.2 |
| 4 4 0 | 65.5 | 11.7 |
| 6 2 2 | 86.0 | 10.0 |
| 3 1 0 | 35.7 | 9.9 |
| 2 6 2 | 83.6 | 8.7 |
| 3 3 0 | 47.9 | 8.1 |
| 0 0 4 | 72.9 | 7.3 |
| 2 4 0 | 50.1 | 7.3 |

Structural model:
a = 7.920 Å, b = 8.200 Å, c = 5.189 Å
α = 90.00°, β = 90.00°, γ = 90.00°
Space group Cmmm (No. 65)
Asymmetric unit:
V  0.000  0.167  0.000
V  0.000  0.278  0.500
V  0.192  0.000  0.500
Fe  0.000  0.500  0.228
Fe  0.250  0.250  0.244
Co  0.239  0.000  0.000

Diffraction record for Pm2PrC3. The powder XRD pattern is theoretical, not measured: it uses a cell relaxed with GGA-PBE and Cu Kα, 1.54184 Å.

Most intense lines, 10° ≤ 2θ ≤ 90°, in order of falling intensity:
| (hkl) | 2θ (°) | I (rel.) |
| --- | --- | --- |
| 1 2 1 | 25.2 | 100.0 |
| 1 0 3 | 37.6 | 74.4 |
| 2 0 0 | 30.1 | 67.3 |
| 0 3 1 | 27.6 | 65.7 |
| 2 3 1 | 41.3 | 54.8 |
| 1 1 2 | 28.5 | 49.7 |
| 0 1 1 | 14.0 | 47.4 |
| 1 3 2 | 37.4 | 33.1 |
| 1 3 4 | 55.8 | 32.2 |
| 1 4 1 | 38.8 | 30.6 |
| 2 2 2 | 41.8 | 29.7 |
| 0 2 2 | 28.3 | 28.0 |

Structural model:
a = 5.933 Å, b = 10.652 Å, c = 7.842 Å
α = 90.00°, β = 90.00°, γ = 90.00°
Space group Imma (No. 74)
Asymmetric unit:
Pm  0.000  0.076  0.166
Pr  0.000  0.250  0.531
C  0.114  0.000  0.500
C  0.250  0.250  0.250

Diffraction record for Sc3Ga3Co2. The powder XRD pattern is theoretical, not measured: it uses a cell relaxed with GGA-PBE and Cu Kα, 1.54184 Å.

Most intense lines, 10° ≤ 2θ ≤ 90°, in order of falling intensity:
| (hkl) | 2θ (°) | I (rel.) |
| --- | --- | --- |
| 2 4 1 | 39.6 | 100.0 |
| 1 4 2 | 43.9 | 87.8 |
| 1 3 2 | 40.5 | 86.2 |
| 3 0 1 | 42.4 | 77.7 |
| 2 4 0 | 35.8 | 77.6 |
| 1 7 1 | 49.0 | 41.6 |
| 1 0 1 | 20.9 | 38.0 |
| 1 1 2 | 36.3 | 31.6 |
| 0 3 1 | 24.8 | 29.5 |
| 1 5 1 | 37.6 | 26.7 |
| 2 4 3 | 63.8 | 26.3 |
| 2 7 0 | 51.4 | 22.8 |

Structural model:
a = 6.970 Å, b = 14.478 Å, c = 5.382 Å
α = 90.00°, β = 90.00°, γ = 90.00°
Space group Pnma (No. 62)
Asymmetric unit:
Sc  0.036  0.110  0.111
Sc  0.169  0.250  0.642
Ga  0.172  0.035  0.596
Ga  0.174  0.750  0.638
Co  0.127  0.614  0.376

Diffraction record for La2Pm2Te2Se3. The powder XRD pattern is theoretical, not measured: it uses a cell relaxed with GGA-PBE and Cu Kα, 1.54184 Å.

Most intense lines, 10° ≤ 2θ ≤ 90°, in order of falling intensity:
| (hkl) | 2θ (°) | I (rel.) |
| --- | --- | --- |
| 2 0 0 | 31.1 | 100.0 |
| 1 0 5 | 31.5 | 40.2 |
| 2 1 5 | 44.9 | 30.2 |
| 2 2 0 | 44.5 | 26.1 |
| 3 1 4 | 55.3 | 17.1 |
| 4 2 0 | 73.5 | 16.4 |
| 0 0 4 | 21.8 | 13.1 |
| 1 1 8 | 50.1 | 12.5 |
| 4 0 0 | 64.8 | 10.2 |
| 3 2 5 | 65.0 | 10.0 |
| 2 0 4 | 38.3 | 9.2 |
| 1 1 2 | 24.4 | 8.8 |

Structural model:
a = 5.759 Å, b = 5.759 Å, c = 16.294 Å
α = 90.00°, β = 90.00°, γ = 90.00°
Space group I4/mmm (No. 139)
Asymmetric unit:
La  0.000  0.000  0.195
Pm  0.000  0.500  0.000
Te  0.000  0.000  0.395
Se  0.000  0.000  0.000
Se  0.000  0.500  0.250

Diffraction record for Cs3Sn4Pd. The powder XRD pattern is theoretical, not measured: it uses a cell relaxed with GGA-PBE and Cu Kα, 1.54184 Å.

Most intense lines, 10° ≤ 2θ ≤ 90°, in order of falling intensity:
| (hkl) | 2θ (°) | I (rel.) |
| --- | --- | --- |
| 2 2 1 | 29.8 | 100.0 |
| 1 0 2 | 30.9 | 91.8 |
| 3 0 2 | 45.5 | 57.7 |
| 1 1 0 | 12.9 | 50.9 |
| 2 0 0 | 22.8 | 50.4 |
| 0 2 0 | 12.3 | 47.7 |
| 1 3 1 | 26.1 | 45.2 |
| 2 3 1 | 32.9 | 37.7 |
| 0 4 0 | 24.7 | 34.2 |
| 2 0 1 | 27.0 | 28.8 |
| 1 2 1 | 22.0 | 28.0 |
| 2 4 3 | 56.3 | 25.4 |

Structural model:
a = 7.794 Å, b = 14.411 Å, c = 6.225 Å
α = 90.00°, β = 90.00°, γ = 90.00°
Space group Pmmn (No. 59, origin choice 2)
Asymmetric unit:
Cs  0.250  0.017  0.154
Cs  0.250  0.250  0.549
Sn  0.044  0.750  0.958
Sn  0.250  0.636  0.653
Pd  0.250  0.750  0.311

Diffraction record for NaAg2SbO. The powder XRD pattern is theoretical, not measured: it uses a cell relaxed with GGA-PBE and Cu Kα, 1.54184 Å.

Most intense lines, 10° ≤ 2θ ≤ 90°, in order of falling intensity:
| (hkl) | 2θ (°) | I (rel.) |
| --- | --- | --- |
| 1 1 1 | 33.4 | 100.0 |
| 2 0 0 | 35.1 | 57.5 |
| 3 1 1 | 61.9 | 31.3 |
| 2 0 2 | 58.7 | 24.0 |
| 1 0 1 | 28.4 | 22.1 |
| 2 2 0 | 50.5 | 19.5 |
| 2 2 2 | 70.3 | 13.7 |
| 0 0 2 | 45.5 | 13.4 |
| 1 0 0 | 17.3 | 13.3 |
| 2 1 1 | 45.7 | 12.1 |
| 1 1 3 | 76.3 | 8.4 |
| 4 2 0 | 84.8 | 8.2 |

Structural model:
a = 5.115 Å, b = 5.115 Å, c = 3.987 Å
α = 90.00°, β = 90.00°, γ = 90.00°
Space group P4/mmm (No. 123)
Asymmetric unit:
Na  0.000  0.000  0.000
Ag  0.000  0.500  0.000
Sb  0.500  0.500  0.500
O  0.000  0.000  0.500